Entry 1:
Simulated powder XRD pattern of Mg14SiC for Cu Kα X-rays, from DFT lattice parameters and positions (PBE).
No peak broadening, texture or thermal motion is included.

Structure:
Unit cell a=8.6443 b=6.3146 c=6.3146 alpha=74.48 beta=90.00 gamma=90.00
Atoms (fractional coordinates):
Mg1 0.0000 0.0000 0.0000
Mg2 0.0000 0.4705 0.4705
Mg3 0.0000 0.5387 0.9434
Mg4 0.0000 0.9434 0.5387
Mg5 0.2234 0.2318 0.2318
Mg6 0.2935 0.6621 0.6621
Mg7 0.3145 0.1313 0.7518
Mg8 0.3145 0.7518 0.1313
Mg9 0.5000 0.4270 0.9885
Mg10 0.5000 0.9885 0.4270
Mg11 0.6855 0.1313 0.7518
Mg12 0.6855 0.7518 0.1313
Mg13 0.7065 0.6621 0.6621
Mg14 0.7766 0.2318 0.2318
Si1 0.5000 0.4352 0.4352
C1 0.5000 0.8167 0.8167

Main lines, by intensity (15 to 90 degrees two-theta):
2θ/deg  d (Å)  I_rel
36.11  2.488  100
35.89  2.502  30
35.72  2.514  26
36.38  2.469  12
34.44  2.604  12
41.80  2.161  12
37.89  2.374  12
58.47  1.578  10
43.25  2.092  9
64.44  1.446  8
47.59  1.911  8
45.96  1.974  8

Entry 2:
Simulated powder XRD pattern of MgSiC for Cu Kα X-rays, from DFT lattice parameters and positions (PBE).
No peak broadening, texture or thermal motion is included.

Structure:
Unit cell a=5.3245 b=3.0704 c=9.4532 alpha=90.00 beta=100.45 gamma=90.00
Atoms (fractional coordinates):
Mg1 0.0000 0.0000 0.0000
Mg2 0.0000 0.5000 0.5000
Mg3 0.5000 0.0000 0.5000
Mg4 0.5000 0.5000 0.0000
Si1 0.2479 0.0000 0.7491
Si2 0.2521 0.5000 0.2509
Si3 0.7479 0.5000 0.7491
Si4 0.7521 0.0000 0.2509
C1 0.1106 0.0000 0.3288
C2 0.3894 0.5000 0.6712
C3 0.6106 0.5000 0.3288
C4 0.8894 0.0000 0.6712

Main lines, by intensity (15 to 90 degrees two-theta):
2θ/deg  d (Å)  I_rel
36.13  2.486  100
42.83  2.111  76
60.25  1.536  42
42.60  2.122  39
38.75  2.324  35
63.74  1.460  18
76.60  1.244  12
77.37  1.233  11
19.09  4.648  11
74.00  1.281  10
73.73  1.285  10
74.17  1.278  10

Entry 3:
Simulated powder XRD pattern of MgU4C5 for Cu Kα X-rays, from DFT lattice parameters and positions (PBE).
No peak broadening, texture or thermal motion is included.

Structure:
Unit cell a=9.0841 b=9.0841 c=9.0841 alpha=157.62 beta=149.18 gamma=38.43
Atoms (fractional coordinates):
Mg1 0.0000 0.0000 0.0000
U1 0.1991 0.1991 0.0000
U2 0.4045 0.4045 0.0000
U3 0.5955 0.5955 0.0000
U4 0.8009 0.8009 0.0000
C1 0.1061 0.6061 0.5000
C2 0.3049 0.8049 0.5000
C3 0.5000 0.0000 0.5000
C4 0.6951 0.1951 0.5000
C5 0.8939 0.3939 0.5000

Main lines, by intensity (15 to 90 degrees two-theta):
2θ/deg  d (Å)  I_rel
31.41  2.848  100
32.00  2.797  95
36.54  2.459  84
53.17  1.723  58
37.25  2.414  40
62.24  1.492  31
63.28  1.470  29
53.43  1.715  20
87.64  1.113  19
19.10  4.648  18
65.56  1.424  16
51.85  1.763  16

Entry 4:
Simulated powder XRD pattern of Mg6VC for Cu Kα X-rays, from DFT lattice parameters and positions (PBE).
No peak broadening, texture or thermal motion is included.

Structure:
Unit cell a=3.0989 b=9.8932 c=10.4186 alpha=90.00 beta=90.00 gamma=90.00
Atoms (fractional coordinates):
Mg1 0.0000 0.0000 0.0000
Mg2 0.0000 0.1536 0.7247
Mg3 0.0000 0.3464 0.2247
Mg4 0.0000 0.5000 0.5000
Mg5 0.0000 0.6536 0.2247
Mg6 0.0000 0.8464 0.7247
Mg7 0.5000 0.0000 0.2589
Mg8 0.5000 0.2367 0.4666
Mg9 0.5000 0.2633 0.9666
Mg10 0.5000 0.5000 0.7589
Mg11 0.5000 0.7367 0.9666
Mg12 0.5000 0.7633 0.4666
V1 0.0000 0.0000 0.5044
V2 0.0000 0.5000 0.0044
C1 0.5000 0.0000 0.6151
C2 0.5000 0.5000 0.1151

Main lines, by intensity (15 to 90 degrees two-theta):
2θ/deg  d (Å)  I_rel
38.39  2.345  100
34.43  2.605  38
40.37  2.234  28
17.02  5.209  20
28.39  3.144  18
31.45  2.845  17
37.61  2.391  17
36.32  2.473  16
17.93  4.947  14
50.35  1.812  13
34.14  2.626  13
64.31  1.448  13

Entry 5:
Simulated powder XRD pattern of Mg14WC for Cu Kα X-rays, from DFT lattice parameters and positions (PBE).
No peak broadening, texture or thermal motion is included.

Structure:
Unit cell a=6.2057 b=6.2057 c=9.5780 alpha=90.00 beta=90.00 gamma=120.00
Atoms (fractional coordinates):
Mg1 0.0000 0.0000 0.2473
Mg2 0.0000 0.0000 0.7527
Mg3 0.0244 0.5122 0.2609
Mg4 0.0244 0.5122 0.7391
Mg5 0.3285 0.1643 0.5000
Mg6 0.3396 0.1698 0.0000
Mg7 0.4878 0.5122 0.2609
Mg8 0.4878 0.5122 0.7391
Mg9 0.4878 0.9756 0.2609
Mg10 0.4878 0.9756 0.7391
Mg11 0.8302 0.1698 0.0000
Mg12 0.8302 0.6604 0.0000
Mg13 0.8357 0.1643 0.5000
Mg14 0.8357 0.6715 0.5000
W1 0.3333 0.6667 0.0000
C1 0.3333 0.6667 0.5000

Main lines, by intensity (15 to 90 degrees two-theta):
2θ/deg  d (Å)  I_rel
38.41  2.343  100
18.93  4.687  70
16.49  5.374  42
33.34  2.687  29
30.28  2.952  25
37.56  2.394  23
32.62  2.745  22
24.90  3.575  22
72.61  1.302  18
34.67  2.587  18
51.09  1.788  17
59.59  1.551  17

Entry 6:
Simulated powder XRD pattern of MgZr3C for Cu Kα X-rays, from DFT lattice parameters and positions (PBE).
No peak broadening, texture or thermal motion is included.

Structure:
Unit cell a=6.4333 b=6.4333 c=9.3384 alpha=90.00 beta=90.00 gamma=149.64
Atoms (fractional coordinates):
Mg1 0.2449 0.7551 0.7500
Mg2 0.7551 0.2449 0.2500
Zr1 0.1211 0.8789 0.0355
Zr2 0.1211 0.8789 0.4645
Zr3 0.4693 0.5307 0.2500
Zr4 0.5307 0.4693 0.7500
Zr5 0.8789 0.1211 0.5355
Zr6 0.8789 0.1211 0.9645
C1 0.5000 0.5000 0.0000
C2 0.5000 0.5000 0.5000

Main lines, by intensity (15 to 90 degrees two-theta):
2θ/deg  d (Å)  I_rel
33.58  2.668  100
34.70  2.585  70
34.32  2.613  53
32.17  2.783  32
60.99  1.519  27
38.56  2.335  25
35.68  2.516  24
54.50  1.684  24
45.36  1.999  22
66.21  1.411  20
52.57  1.741  18
66.74  1.402  14

Entry 7:
Simulated powder XRD pattern of Mn7C3 for Cu Kα X-rays, from DFT lattice parameters and positions (PBE).
No peak broadening, texture or thermal motion is included.

Structure:
Unit cell a=4.4587 b=6.8090 c=11.7212 alpha=90.00 beta=90.00 gamma=90.00
Atoms (fractional coordinates):
Mn1 0.0509 0.0642 0.1927
Mn2 0.0509 0.4358 0.1927
Mn3 0.0703 0.2500 0.3724
Mn4 0.2184 0.7500 0.3015
Mn5 0.2185 0.7500 0.0907
Mn6 0.2477 0.0670 0.9836
Mn7 0.2477 0.4330 0.9836
Mn8 0.2523 0.5670 0.4836
Mn9 0.2523 0.9330 0.4836
Mn10 0.2815 0.2500 0.5907
Mn11 0.2816 0.2500 0.8015
Mn12 0.4297 0.7500 0.8724
Mn13 0.4491 0.5642 0.6927
Mn14 0.4491 0.9358 0.6927
Mn15 0.5509 0.0642 0.3073
Mn16 0.5509 0.4358 0.3073
Mn17 0.5703 0.2500 0.1276
Mn18 0.7184 0.7500 0.1985
Mn19 0.7185 0.7500 0.4093
Mn20 0.7477 0.0670 0.5164
Mn21 0.7477 0.4330 0.5164
Mn22 0.7523 0.5670 0.0164
Mn23 0.7523 0.9330 0.0164
Mn24 0.7815 0.2500 0.9093
Mn25 0.7816 0.2500 0.6985
Mn26 0.9297 0.7500 0.6276
Mn27 0.9491 0.5642 0.8073
Mn28 0.9491 0.9358 0.8073
C1 0.0347 0.7500 0.9377
C2 0.0434 0.0278 0.6466
C3 0.0434 0.4722 0.6466
C4 0.4566 0.5278 0.1466
C5 0.4566 0.9722 0.1466
C6 0.4653 0.2500 0.4377
C7 0.5347 0.7500 0.5623
C8 0.5434 0.0278 0.8534
C9 0.5434 0.4722 0.8534
C10 0.9566 0.5278 0.3534
C11 0.9566 0.9722 0.3534
C12 0.9653 0.2500 0.0623

Main lines, by intensity (15 to 90 degrees two-theta):
2θ/deg  d (Å)  I_rel
45.68  1.986  100
43.41  2.084  70
45.51  1.993  51
40.52  2.226  46
51.44  1.776  37
40.64  2.220  34
47.56  1.912  24
81.18  1.185  17
41.22  2.190  17
83.96  1.153  17
86.07  1.130  15
85.24  1.138  15

Entry 8:
Simulated powder XRD pattern of Mn5C3 for Cu Kα X-rays, from DFT lattice parameters and positions (PBE).
No peak broadening, texture or thermal motion is included.

Structure:
Unit cell a=5.9246 b=5.9246 c=5.9246 alpha=98.86 beta=98.86 gamma=133.78
Atoms (fractional coordinates):
Mn1 0.0000 0.5000 0.5000
Mn2 0.1150 0.3994 0.1320
Mn3 0.2674 0.9831 0.8680
Mn4 0.3994 0.2674 0.2843
Mn5 0.4831 0.7674 0.8680
Mn6 0.5000 0.0000 0.5000
Mn7 0.6150 0.4831 0.7157
Mn8 0.7674 0.8994 0.2843
Mn9 0.8994 0.6150 0.1320
Mn10 0.9831 0.1150 0.7157
C1 0.1417 0.9625 0.5000
C2 0.4476 0.4476 0.0000
C3 0.4625 0.6417 0.5000
C4 0.6417 0.1417 0.1792
C5 0.9476 0.9476 0.0000
C6 0.9625 0.4625 0.8208

Main lines, by intensity (15 to 90 degrees two-theta):
2θ/deg  d (Å)  I_rel
52.79  1.734  100
46.78  1.942  90
36.88  2.437  65
51.68  1.769  60
32.33  2.769  47
38.73  2.325  43
53.15  1.723  36
42.26  2.139  33
45.57  1.991  31
80.50  1.193  21
75.81  1.255  18
74.94  1.267  17

Entry 9:
Simulated powder XRD pattern of Mn6C for Cu Kα X-rays, from DFT lattice parameters and positions (PBE).
No peak broadening, texture or thermal motion is included.

Structure:
Unit cell a=7.5134 b=7.5134 c=7.5134 alpha=60.00 beta=60.00 gamma=60.00
Atoms (fractional coordinates):
Mn1 0.0000 0.0000 0.0000
Mn2 0.0000 0.0000 0.5000
Mn3 0.0000 0.5000 0.0000
Mn4 0.1327 0.7891 0.7891
Mn5 0.1860 0.1860 0.5640
Mn6 0.1860 0.5640 0.1860
Mn7 0.1860 0.5640 0.5640
Mn8 0.2109 0.2109 0.2109
Mn9 0.2109 0.2109 0.8673
Mn10 0.2109 0.8673 0.2109
Mn11 0.4360 0.4360 0.8140
Mn12 0.4360 0.8140 0.4360
Mn13 0.4360 0.8140 0.8140
Mn14 0.5000 0.0000 0.0000
Mn15 0.5640 0.1860 0.1860
Mn16 0.5640 0.1860 0.5640
Mn17 0.5640 0.5640 0.1860
Mn18 0.7891 0.1327 0.7891
Mn19 0.7891 0.7891 0.1327
Mn20 0.7891 0.7891 0.7891
Mn21 0.8140 0.4360 0.4360
Mn22 0.8140 0.4360 0.8140
Mn23 0.8140 0.8140 0.4360
Mn24 0.8673 0.2109 0.2109
C1 0.0000 0.5000 0.5000
C2 0.5000 0.0000 0.5000
C3 0.5000 0.5000 0.0000
C4 0.5000 0.5000 0.5000

Main lines, by intensity (15 to 90 degrees two-theta):
2θ/deg  d (Å)  I_rel
44.30  2.045  100
41.64  2.169  32
48.46  1.878  30
76.00  1.252  27
51.61  1.771  9
36.87  2.438  9
77.85  1.227  7
83.36  1.159  5
67.74  1.383  5
57.54  1.602  4
82.75  1.166  3
50.84  1.796  3

Entry 10:
Simulated powder XRD pattern of Mn7C5 for Cu Kα X-rays, from DFT lattice parameters and positions (PBE).
No peak broadening, texture or thermal motion is included.

Structure:
Unit cell a=5.3731 b=5.3731 c=5.3731 alpha=105.01 beta=105.01 gamma=118.83
Atoms (fractional coordinates):
Mn1 0.0000 0.0000 0.0000
Mn2 0.3436 0.5846 0.7590
Mn3 0.3530 0.8530 0.5000
Mn4 0.5846 0.3436 0.7590
Mn5 0.5846 0.8256 0.2410
Mn6 0.8256 0.5846 0.2410
Mn7 0.8530 0.3530 0.5000
C1 0.0712 0.0712 0.4176
C2 0.0712 0.6536 0.0000
C3 0.3573 0.3573 0.0000
C4 0.6536 0.0712 0.0000
C5 0.6536 0.6536 0.5824

Main lines, by intensity (15 to 90 degrees two-theta):
2θ/deg  d (Å)  I_rel
34.78  2.579  100
51.77  1.766  79
21.18  4.195  47
56.25  1.635  43
27.27  3.271  42
53.19  1.722  41
38.24  2.354  33
55.72  1.650  16
59.78  1.547  14
83.62  1.156  12
52.09  1.756  11
32.76  2.734  11

Entry 11:
Simulated powder XRD pattern of Mn5C3 for Cu Kα X-rays, from DFT lattice parameters and positions (PBE).
No peak broadening, texture or thermal motion is included.

Structure:
Unit cell a=2.5200 b=2.5200 c=10.8554 alpha=90.00 beta=90.00 gamma=90.00
Atoms (fractional coordinates):
Mn1 0.0000 0.0000 0.0000
Mn2 0.0000 0.0000 0.2226
Mn3 0.0000 0.0000 0.7774
Mn4 0.5000 0.5000 0.3951
Mn5 0.5000 0.5000 0.6049
C1 0.0000 0.0000 0.5000
C2 0.5000 0.5000 0.1395
C3 0.5000 0.5000 0.8605

Main lines, by intensity (15 to 90 degrees two-theta):
2θ/deg  d (Å)  I_rel
49.35  1.847  100
36.61  2.455  69
51.27  1.782  59
41.60  2.171  33
68.07  1.377  27
75.44  1.260  16
39.42  2.286  11
86.90  1.121  10
35.63  2.520  4
63.28  1.470  4
71.42  1.321  3
69.24  1.357  3

Repeat the tenth record exactly.
Simulated powder XRD pattern of Mn7C5 for Cu Kα X-rays, from DFT lattice parameters and positions (PBE).
No peak broadening, texture or thermal motion is included.

Structure:
Unit cell a=5.3731 b=5.3731 c=5.3731 alpha=105.01 beta=105.01 gamma=118.83
Atoms (fractional coordinates):
Mn1 0.0000 0.0000 0.0000
Mn2 0.3436 0.5846 0.7590
Mn3 0.3530 0.8530 0.5000
Mn4 0.5846 0.3436 0.7590
Mn5 0.5846 0.8256 0.2410
Mn6 0.8256 0.5846 0.2410
Mn7 0.8530 0.3530 0.5000
C1 0.0712 0.0712 0.4176
C2 0.0712 0.6536 0.0000
C3 0.3573 0.3573 0.0000
C4 0.6536 0.0712 0.0000
C5 0.6536 0.6536 0.5824

Main lines, by intensity (15 to 90 degrees two-theta):
2θ/deg  d (Å)  I_rel
34.78  2.579  100
51.77  1.766  79
21.18  4.195  47
56.25  1.635  43
27.27  3.271  42
53.19  1.722  41
38.24  2.354  33
55.72  1.650  16
59.78  1.547  14
83.62  1.156  12
52.09  1.756  11
32.76  2.734  11

Number 10 is which compound? Mn7C5

Which formula does entry 3 have? MgU4C5